Diffraction record for MgVBr2O. The X-ray diffraction stick pattern is theoretical, not measured: it uses a PBE+U-relaxed structure and Cu Kα.
Kinematic intensities with the Lorentz-polarization factor, no thermal factor.

Largest 10 diffraction maxima, by angle, 2θ from 10° to 90°:
12.33°, rel. 100, hkl 0 0 1; 21.37°, rel. 96, hkl 0 1 0; 29.14°, rel. 39, hkl 1 0 -1; 29.24°, rel. 40, hkl 1 0 2; 30.46°, rel. 29, hkl 1 1 1; 39.54°, rel. 32, hkl 1 1 -1; 39.68°, rel. 63, hkl 1 -1 2; 39.81°, rel. 31, hkl 1 1 3; 41.57°, rel. 36, hkl 0 2 1; 50.89°, rel. 37, hkl 0 0 4

Structure:
```
MgVBr2O
1.0
3.979 0.000 0.000
0.000 4.344 0.000
1.964 2.129 7.177
Mg V Br O
1 1 2 1
Direct
0.000 0.000 0.000
0.500 0.500 0.000
0.126 0.625 0.745
0.874 0.375 0.255
0.500 0.000 0.000
```